Structure and calculated X-ray diffraction stick pattern of CoSn3 (the PBE geometry in OQMD; Cu Kα, 1.54184 Å).
Neutral-atom scattering factors, no anomalous dispersion.

Crystal structure
Lattice parameters (Å, degrees): 6.297 6.297 34.068 90.00 90.00 90.00
Space group I4_1/acd (No. 142, origin choice 2)
One atom of each set of equivalent atoms:
Co 0.000 0.250 0.335 [16 per cell]
Sn 0.163 0.087 0.125 [16 per cell]
Sn 0.183 0.066 0.542 [32 per cell]

Largest 8 diffraction maxima, in order of falling intensity, 10° ≤ 2θ ≤ 90°:
(2 1 5), 2θ 34.5, intensity 100; (2 1 7), 2θ 36.9, intensity 87; (2 0 12), 2θ 42.9, intensity 79; (0 0 12), 2θ 31.5, intensity 53; (3 1 2), 2θ 45.9, intensity 45; (2 0 0), 2θ 28.3, intensity 37; (4 1 5), 2θ 62.3, intensity 26; (4 1 7), 2θ 63.9, intensity 25

***

Structure and calculated X-ray diffraction stick pattern of Nd2Sm2C2I2BrCl2 (the PBE geometry in OQMD; Cu Kα, 1.54184 Å).
Neutral-atom scattering factors, no anomalous dispersion.

Crystal structure
Lattice parameters (Å, degrees): 19.206 3.953 8.308 90.00 102.45 90.00
Space group C2/m (No. 12)
One atom of each set of equivalent atoms:
Nd 0.003 0.000 0.300 [4 per cell]
Sm 0.156 0.500 0.584 [4 per cell]
C 0.037 0.500 0.520 [4 per cell]
I 0.165 0.000 0.874 [4 per cell]
Br 0.000 0.500 0.000 [2 per cell]
Cl 0.172 0.000 0.350 [4 per cell]

Largest 8 diffraction maxima, in order of falling intensity, 10° ≤ 2θ ≤ 90°:
(1 1 -2), 2θ 31.2, intensity 100; (7 1 -2), 2θ 42.8, intensity 75; (6 0 0), 2θ 28.6, intensity 69; (3 1 1), 2θ 30.1, intensity 43; (3 1 -1), 2θ 27.7, intensity 40; (2 0 -1), 2θ 12.8, intensity 24; (2 0 3), 2θ 36.5, intensity 23; (6 2 0), 2θ 55.0, intensity 21

***

Structure and calculated X-ray diffraction stick pattern of PbW3CN (the PBE geometry in OQMD; Cu Kα, 1.54184 Å).
Neutral-atom scattering factors, no anomalous dispersion.

Crystal structure
Lattice parameters (Å, degrees): 3.2357 3.2357 18.4773 90.00 90.00 120.00
Space group P-3m1 (No. 164)
One atom of each set of equivalent atoms:
Pb 0.0000 0.0000 0.2461 [2 per cell]
W 0.0000 0.0000 0.0000 [1 per cell]
W 0.0000 0.0000 0.5000 [1 per cell]
W 0.3333 0.6667 0.1166 [2 per cell]
W 0.3333 0.6667 0.3770 [2 per cell]
C 0.3333 0.6667 0.5694 [2 per cell]
N 0.3333 0.6667 0.9383 [2 per cell]

Largest 8 diffraction maxima, in order of falling intensity, 10° ≤ 2θ ≤ 90°:
(0 1 4), 2θ 37.5, intensity 100; (1 1 0), 2θ 56.9, intensity 28; (1 1 8), 2θ 71.2, intensity 25; (0 0 8), 2θ 39.0, intensity 23; (0 1 1), 2θ 32.3, intensity 20; (1 0 3), 2θ 35.2, intensity 19; (2 0 4), 2θ 70.2, intensity 16; (0 1 12), 2θ 69.7, intensity 16

***

Structure and calculated X-ray diffraction stick pattern of CoH26C20S2N8 (the PBE geometry in OQMD; Cu Kα, 1.54184 Å).
Neutral-atom scattering factors, no anomalous dispersion.

Crystal structure
Lattice parameters (Å, degrees): 7.669 8.087 9.667 73.78 84.36 78.76
Space group P-1 (No. 2)
One atom of each set of equivalent atoms:
Co 0.000 0.000 0.000 [1 per cell]
H 0.019 0.628 0.019 [2 per cell]
H 0.069 0.143 0.405 [2 per cell]
H 0.102 0.345 0.195 [2 per cell]
H 0.147 0.900 0.288 [2 per cell]
H 0.204 0.383 0.650 [2 per cell]
H 0.239 0.631 0.477 [2 per cell]
H 0.245 0.032 0.523 [2 per cell]
H 0.295 0.118 0.337 [2 per cell]
H 0.315 0.165 0.661 [2 per cell]
H 0.398 0.768 0.072 [2 per cell]
H 0.425 0.345 0.574 [2 per cell]
H 0.426 0.418 0.878 [2 per cell]
H 0.491 0.331 0.063 [2 per cell]
C 0.067 0.622 0.123 [2 per cell]
C 0.115 0.464 0.222 [2 per cell]
C 0.139 0.774 0.272 [2 per cell]
C 0.179 0.457 0.356 [2 per cell]
C 0.192 0.621 0.377 [2 per cell]
C 0.207 0.141 0.429 [2 per cell]
C 0.218 0.820 0.784 [2 per cell]
C 0.295 0.300 0.592 [2 per cell]
C 0.347 0.182 0.993 [2 per cell]
C 0.473 0.298 0.963 [2 per cell]
S 0.360 0.715 0.689 [2 per cell]
N 0.076 0.778 0.145 [2 per cell]
N 0.117 0.898 0.854 [2 per cell]
N 0.223 0.304 0.458 [2 per cell]
N 0.242 0.088 0.019 [2 per cell]

Largest 8 diffraction maxima, in order of falling intensity, 10° ≤ 2θ ≤ 90°:
(1 1 1), 2θ 15.7, intensity 100; (2 0 -1), 2θ 26.0, intensity 94; (1 0 0), 2θ 11.8, intensity 75; (0 1 -1), 2θ 16.9, intensity 57; (1 -1 2), 2θ 28.2, intensity 45; (0 1 2), 2θ 19.6, intensity 45; (2 1 1), 2θ 24.7, intensity 40; (-1 1 2), 2θ 24.4, intensity 38